Diffraction record for TbU2S6. The powder diffractogram is calculated, not measured: it uses a GGA-PBE-relaxed structure and copper Kα.

Largest 8 diffraction maxima, low angle first, 2θ from 10° to 90°:
hkl, Position (°2θ), Rel. int.
1 1 0, 24.62, 1000
1 0 1, 25.89, 813
2 -1 1, 32.96, 246
0 2 1, 36.03, 646
3 0 0, 43.34, 407
2 1 1, 44.13, 599
1 0 2, 46.42, 222
5 -2 1, 69.25, 204

Structural model:
```
TbU2S6
1.0
7.2322 0.0000 0.0000
-3.6161 6.2633 0.0000
0.0000 0.0000 4.1185
Tb U S
1 2 6
Cartesian
0.0000 0.0000 0.0000
0.0000 4.1755 3.1814
3.6161 2.0877 0.9371
-0.8029 2.4105 1.0664
-1.1271 5.7533 1.0664
1.6861 1.9006 3.0521
1.9300 4.3627 1.0664
4.7432 0.5099 3.0521
4.4190 3.8528 3.0521
```